Diffraction record for Ca3Y4. The powder diffractogram is computed, not measured: it uses a structure optimized by DFT (PBE) and Cu Kα.
Kinematic intensities with the Lorentz-polarization factor, no thermal factor.

Crystal structure
```
data_Ca3Y4
_cell_length_a 6.5293
_cell_length_b 6.5293
_cell_length_c 6.8712
_cell_angle_alpha 90.00
_cell_angle_beta 90.00
_cell_angle_gamma 120.00
_space_group_name_H-M_alt 'P 6/m m m'
_space_group_IT_number 191
_space_group_name_Hall '-P 6 2'
loop_
_atom_site_label
_atom_site_fract_x
_atom_site_fract_y
_atom_site_fract_z
Ca1 0.0000 0.5000 0.0000
Y1 0.0000 0.0000 0.2758
Y2 0.3333 0.6667 0.5000
```

Most intense lines, 15 to 90 degrees two-theta, by angle:
| 2θ (°) | d [Å] | Rel. int. | index |
| --- | --- | --- | --- |
| 27.3 | 3.265 | 73 | 1 1 0 |
| 30.3 | 2.949 | 70 | 1 1 1 |
| 30.4 | 2.936 | 100 | 1 0 2 |
| 31.6 | 2.827 | 23 | 2 0 0 |
| 34.3 | 2.615 | 28 | 2 0 1 |
| 50.3 | 1.816 | 63 | 2 1 2 |
| 51.3 | 1.780 | 21 | 2 0 3 |
| 56.4 | 1.632 | 21 | 2 2 0 |
| 65.4 | 1.427 | 20 | 3 1 2 |
| 78.8 | 1.214 | 20 | 3 2 2 |